Entry 1:
Starting from a PBE-relaxed structure, the powder diffractogram of Al3PBr12 was computed for Cu Kα X-rays.
Intensities are scaled so that the largest is 100.

Principal peaks in the range 2θ from 5° to 70°, in order of rising 2θ:
10.10°, d = 8.756 Å, intensity 31; 12.47°, d = 7.097 Å, intensity 100; 15.65°, d = 5.661 Å, intensity 42; 23.30°, d = 3.817 Å, intensity 31; 24.45°, d = 3.641 Å, intensity 29; 24.82°, d = 3.588 Å, intensity 24; 27.62°, d = 3.230 Å, intensity 44; 28.15°, d = 3.170 Å, intensity 75; 29.87°, d = 2.992 Å, intensity 22; 32.54°, d = 2.752 Å, intensity 34; 35.20°, d = 2.550 Å, intensity 26; 48.66°, d = 1.871 Å, intensity 24

Structural model:
```
Al3PBr12
1.0
11.1244 0.0000 0.0000
-5.5622 9.6340 0.0000
0.0000 0.0000 20.9907
Al P Br
9 3 36
direct
0.0000 0.9709 0.1667
0.0291 0.0291 0.5000
0.2837 0.5804 0.0329
0.2968 0.7163 0.6995
0.4196 0.7032 0.3662
0.5804 0.2837 0.9671
0.7032 0.4196 0.6338
0.7163 0.2968 0.3005
0.9709 0.0000 0.8333
0.0000 0.7414 0.6667
0.2586 0.2586 0.0000
0.7414 0.0000 0.3333
0.0362 0.1291 0.0801
0.0357 0.2310 0.5246
0.0652 0.6155 0.7478
0.0929 0.9638 0.7468
0.1291 0.0362 0.9199
0.1399 0.3942 0.9596
0.1549 0.6118 0.1067
0.1953 0.9643 0.1912
0.2310 0.0357 0.4754
0.2357 0.6849 0.3126
0.2543 0.8601 0.6263
0.3151 0.5508 0.6460
0.3845 0.4498 0.0812
0.3882 0.5432 0.4400
0.3942 0.1399 0.0404
0.4492 0.7643 0.9793
0.4498 0.3845 0.9188
0.4568 0.8451 0.7734
0.5432 0.3882 0.5600
0.5502 0.9348 0.4145
0.5508 0.3151 0.3540
0.6058 0.7457 0.2930
0.6118 0.1549 0.8933
0.6155 0.0652 0.2522
0.6849 0.2357 0.6874
0.7457 0.6058 0.7070
0.7643 0.4492 0.0207
0.7690 0.8047 0.8579
0.8047 0.7690 0.1421
0.8451 0.4568 0.2266
0.8601 0.2543 0.3737
0.8709 0.9071 0.4135
0.9071 0.8709 0.5865
0.9348 0.5502 0.5855
0.9638 0.0929 0.2532
0.9643 0.1953 0.8088
```

---

Entry 2:
Starting from a PBE-relaxed structure, the powder diffractogram of YHoHg5 was computed for Cu Kα X-rays.
Intensities are scaled so that the largest is 100.

Principal peaks in the range 2θ from 5° to 70°, in order of rising 2θ:
12.56°, d = 7.045 Å, intensity 12; 26.42°, d = 3.373 Å, intensity 24; 29.32°, d = 3.046 Å, intensity 12; 34.56°, d = 2.595 Å, intensity 100; 35.40°, d = 2.536 Å, intensity 96; 36.87°, d = 2.438 Å, intensity 84; 47.36°, d = 1.919 Å, intensity 21; 51.91°, d = 1.761 Å, intensity 15; 54.31°, d = 1.689 Å, intensity 15; 61.48°, d = 1.508 Å, intensity 42; 64.40°, d = 1.447 Å, intensity 31; 65.99°, d = 1.416 Å, intensity 31

Structural model:
```
YHoHg5
1.0
6.7561 0.0000 0.0000
0.0000 7.6777 0.0000
0.0000 0.0000 7.0453
Y Ho Hg
2 2 10
direct
0.0000 0.0000 0.0000
0.5000 0.5000 0.0000
0.0000 0.5000 0.5000
0.5000 0.0000 0.5000
0.0000 0.0000 0.5000
0.2500 0.2500 0.2337
0.2500 0.2500 0.7663
0.2500 0.7500 0.2337
0.2500 0.7500 0.7663
0.5000 0.5000 0.5000
0.7500 0.2500 0.2337
0.7500 0.2500 0.7663
0.7500 0.7500 0.2337
0.7500 0.7500 0.7663
```

---

Entry 3:
Starting from a PBE-relaxed structure, the powder diffractogram of Li2Zn6Cd was computed for Cu Kα X-rays.
Intensities are scaled so that the largest is 100.

Principal peaks in the range 2θ from 5° to 70°, in order of rising 2θ:
20.03°, d = 4.433 Å, intensity 100; 33.53°, d = 2.673 Å, intensity 31; 35.06°, d = 2.559 Å, intensity 33; 40.71°, d = 2.216 Å, intensity 53; 44.55°, d = 2.034 Å, intensity 53; 45.77°, d = 1.982 Å, intensity 25; 50.43°, d = 1.810 Å, intensity 1; 53.73°, d = 1.706 Å, intensity 25; 58.94°, d = 1.567 Å, intensity 25; 62.90°, d = 1.478 Å, intensity 13; 66.73°, d = 1.402 Å, intensity 4; 69.53°, d = 1.352 Å, intensity 5

Structural model:
```
Li2Zn6Cd
1.0
0.0000 4.4325 4.4325
4.4325 0.0000 4.4325
4.4325 4.4325 0.0000
Li Zn Cd
2 6 1
direct
0.2500 0.2500 0.2500
0.7500 0.7500 0.7500
0.2094 0.2094 0.7906
0.2094 0.7906 0.2094
0.2094 0.7906 0.7906
0.7906 0.2094 0.2094
0.7906 0.2094 0.7906
0.7906 0.7906 0.2094
0.5000 0.5000 0.5000
```

---

Entry 4:
Starting from a PBE-relaxed structure, the powder diffractogram of Ti7Ga2Sb2 was computed for Cu Kα X-rays.
Intensities are scaled so that the largest is 100.

Principal peaks in the range 2θ from 5° to 70°, in order of rising 2θ:
22.53°, d = 3.946 Å, intensity 25; 26.55°, d = 3.357 Å, intensity 49; 27.94°, d = 3.193 Å, intensity 60; 37.51°, d = 2.397 Å, intensity 100; 37.66°, d = 2.389 Å, intensity 95; 38.69°, d = 2.327 Å, intensity 85; 39.53°, d = 2.280 Å, intensity 75; 41.20°, d = 2.191 Å, intensity 28; 41.74°, d = 2.164 Å, intensity 33; 42.50°, d = 2.127 Å, intensity 54; 43.42°, d = 2.084 Å, intensity 67; 47.74°, d = 1.905 Å, intensity 47

Structural model:
```
Ti7Ga2Sb2
1.0
5.6053 0.0000 0.0000
0.5014 5.6786 0.0000
1.8351 1.2113 6.3841
Ti Ga Sb
7 2 2
direct
0.0000 0.0000 0.0000
0.0054 0.7447 0.4608
0.3388 0.6042 0.1449
0.4944 0.7339 0.5051
0.5056 0.2661 0.4949
0.6612 0.3958 0.8551
0.9946 0.2553 0.5392
0.1581 0.4708 0.8136
0.8419 0.5292 0.1864
0.3473 0.0894 0.2075
0.6527 0.9106 0.7925
```